This entry pairs a crystal structure of Sc4RhAu3 with its computed powder XRD pattern. Radiation: Cu Kα (λ = 1.5418 Å). Structure: a DFT-relaxed cell (PBE, Alexandria).
Peak positions follow from Bragg's law for the DFT cell and can differ from measured ones.

Most intense lines, 15 to 90 degrees two-theta, in order of falling intensity:
(1 1 2), 37.7°, intensity 100
(0 1 2), 26.7°, intensity 43
(0 2 0), 38.0°, intensity 25
(0 0 4), 38.2°, intensity 24
(1 0 0), 26.2°, intensity 22
(1 3 2), 68.4°, intensity 17

Structure:
a b c (Å): 3.4039 4.7408 9.4284
angles (deg): 90.00 90.00 90.00
Space group Pmmm (No. 47)
Asymmetric unit:
Sc1 0.0000 0.0000 0.0000
Sc2 0.0000 0.0000 0.5000
Sc3 0.0000 0.5000 0.2374
Rh1 0.5000 0.5000 0.0000
Au1 0.5000 0.0000 0.2467
Au2 0.5000 0.5000 0.5000